The following is a simulated XRD peak list of InHgSeS. It was derived from DFT lattice parameters and positions (GGA-PBE), using copper Kα.
No peak broadening, texture or thermal motion is included.

Main lines, in order of rising 2θ (2θ from 15° to 90°):
Position (°2θ)	I/Imax
23.09	43
24.78	100
27.39	84
34.13	54
43.31	89
43.64	60

Structure:
a = 4.148 Å, b = 4.148 Å, c = 7.704 Å
α = 90.00°, β = 90.00°, γ = 120.00°
Atoms (fractional coordinates):
1 In 0.000 0.000 0.000
2 Hg 0.000 0.000 0.360
3 Se 0.333 0.667 0.507
4 S 0.667 0.333 0.865

The following is a simulated XRD peak list of In12Hg6Sb. It was derived from DFT lattice parameters and positions (GGA-PBE), using copper Kα.
No peak broadening, texture or thermal motion is included.

Main lines, in order of rising 2θ (2θ from 15° to 90°):
Position (°2θ)	I/Imax
29.96	58
30.85	44
31.62	61
33.36	100
33.84	54
36.81	33

Structure:
a = 8.314 Å, b = 8.946 Å, c = 9.101 Å
α = 63.13°, β = 90.00°, γ = 65.00°
Atoms (fractional coordinates):
1 In 0.021 0.319 0.192
2 In 0.100 0.788 0.070
3 In 0.104 0.384 0.680
4 In 0.266 0.684 0.436
5 In 0.269 0.958 0.760
6 In 0.458 0.382 0.821
7 In 0.542 0.618 0.179
8 In 0.731 0.042 0.240
9 In 0.734 0.316 0.564
10 In 0.896 0.616 0.320
11 In 0.900 0.212 0.930
12 In 0.979 0.681 0.808
13 Hg 0.329 0.048 0.089
14 Hg 0.359 0.392 0.136
15 Hg 0.439 0.194 0.519
16 Hg 0.561 0.806 0.481
17 Hg 0.641 0.608 0.864
18 Hg 0.671 0.952 0.911
19 Sb 0.000 0.000 0.500

The following is a simulated XRD peak list of In15Hg4Sb. It was derived from DFT lattice parameters and positions (GGA-PBE), using copper Kα.
No peak broadening, texture or thermal motion is included.

Main lines, in order of rising 2θ (2θ from 15° to 90°):
Position (°2θ)	I/Imax
32.65	100
37.73	34
38.18	16
54.77	22
64.93	27
65.54	13

Structure:
a = 4.768 Å, b = 4.768 Å, c = 23.569 Å
α = 90.00°, β = 90.00°, γ = 90.00°
Atoms (fractional coordinates):
1 In 0.000 0.000 0.000
2 In 0.000 0.000 0.200
3 In 0.000 0.000 0.399
4 In 0.000 0.000 0.601
5 In 0.000 0.000 0.800
6 In 0.000 0.500 0.101
7 In 0.000 0.500 0.300
8 In 0.000 0.500 0.500
9 In 0.000 0.500 0.700
10 In 0.000 0.500 0.899
11 In 0.500 0.000 0.101
12 In 0.500 0.000 0.300
13 In 0.500 0.000 0.500
14 In 0.500 0.000 0.700
15 In 0.500 0.000 0.899
16 Hg 0.500 0.500 0.202
17 Hg 0.500 0.500 0.398
18 Hg 0.500 0.500 0.602
19 Hg 0.500 0.500 0.798
20 Sb 0.500 0.500 0.000

The following is a simulated XRD peak list of In10Hg4Sb. It was derived from DFT lattice parameters and positions (GGA-PBE), using copper Kα.
No peak broadening, texture or thermal motion is included.

Main lines, in order of rising 2θ (2θ from 15° to 90°):
Position (°2θ)	I/Imax
29.69	100
31.34	88
31.58	80
33.80	69
38.39	50
48.54	49

Structure:
a = 4.171 Å, b = 4.372 Å, c = 22.832 Å
α = 87.71°, β = 87.63°, γ = 83.99°
Atoms (fractional coordinates):
1 In 0.033 0.314 0.167
2 In 0.171 0.097 0.636
3 In 0.208 0.739 0.965
4 In 0.404 0.166 0.769
5 In 0.412 0.446 0.434
6 In 0.588 0.554 0.566
7 In 0.596 0.834 0.231
8 In 0.792 0.261 0.035
9 In 0.829 0.903 0.364
10 In 0.967 0.686 0.833
11 Hg 0.227 0.366 0.301
12 Hg 0.399 0.787 0.098
13 Hg 0.601 0.213 0.902
14 Hg 0.773 0.634 0.699
15 Sb 0.000 0.000 0.500

The following is a simulated XRD peak list of Tl5InHg2Sb. It was derived from DFT lattice parameters and positions (GGA-PBE), using copper Kα.
No peak broadening, texture or thermal motion is included.

Main lines, in order of rising 2θ (2θ from 15° to 90°):
Position (°2θ)	I/Imax
29.98	100
30.49	83
32.81	42
33.66	61
33.88	40
40.93	55

Structure:
a = 10.082 Å, b = 10.082 Å, c = 13.382 Å
α = 102.59°, β = 102.59°, γ = 25.27°
Atoms (fractional coordinates):
1 Tl 0.000 0.000 0.000
2 Tl 0.112 0.112 0.254
3 Tl 0.137 0.137 0.530
4 Tl 0.213 0.213 0.992
5 Tl 0.322 0.322 0.573
6 Tl 0.376 0.376 0.846
7 Tl 0.442 0.442 0.163
8 Tl 0.514 0.514 0.575
9 Tl 0.737 0.737 0.736
10 Tl 0.790 0.790 0.218
11 In 0.549 0.549 0.850
12 In 0.983 0.983 0.367
13 Hg 0.625 0.625 0.088
14 Hg 0.719 0.719 0.414
15 Hg 0.834 0.834 0.999
16 Hg 0.935 0.935 0.695
17 Sb 0.121 0.121 0.767
18 Sb 0.379 0.379 0.370

The following is a simulated XRD peak list of Sc2In3Hg3. It was derived from DFT lattice parameters and positions (GGA-PBE), using copper Kα.
No peak broadening, texture or thermal motion is included.

Main lines, in order of rising 2θ (2θ from 15° to 90°):
Position (°2θ)	I/Imax
19.65	14
34.70	100
39.90	17
40.34	17
40.60	16
69.12	13

Structure:
a = 4.472 Å, b = 4.519 Å, c = 8.889 Å
α = 90.00°, β = 90.00°, γ = 90.00°
Atoms (fractional coordinates):
1 Sc 0.000 0.000 0.250
2 Sc 0.000 0.000 0.750
3 In 0.000 0.500 0.000
4 In 0.500 0.000 0.000
5 In 0.500 0.000 0.500
6 Hg 0.000 0.500 0.500
7 Hg 0.500 0.500 0.249
8 Hg 0.500 0.500 0.751

The following is a simulated XRD peak list of ScInHg. It was derived from DFT lattice parameters and positions (GGA-PBE), using copper Kα.
No peak broadening, texture or thermal motion is included.

Main lines, in order of rising 2θ (2θ from 15° to 90°):
Position (°2θ)	I/Imax
20.55	19
27.69	16
34.72	100
39.33	17
39.79	17
41.77	15

Structure:
a = 4.531 Å, b = 4.325 Å, c = 7.234 Å
α = 90.00°, β = 108.18°, γ = 90.00°
Atoms (fractional coordinates):
1 Sc 0.160 0.000 0.319
2 Sc 0.840 0.000 0.681
3 In 0.000 0.500 0.000
4 In 0.500 0.000 0.000
5 Hg 0.326 0.500 0.652
6 Hg 0.674 0.500 0.348

The following is a simulated XRD peak list of Sc4In2Hg. It was derived from DFT lattice parameters and positions (GGA-PBE), using copper Kα.
No peak broadening, texture or thermal motion is included.

Main lines, in order of rising 2θ (2θ from 15° to 90°):
Position (°2θ)	I/Imax
21.06	21
25.48	21
36.34	100
52.33	17
65.38	34
88.42	15

Structure:
a = 8.560 Å, b = 8.560 Å, c = 8.560 Å
α = 33.58°, β = 33.58°, γ = 33.58°
Atoms (fractional coordinates):
1 Sc 0.121 0.121 0.121
2 Sc 0.372 0.372 0.372
3 Sc 0.628 0.628 0.628
4 Sc 0.879 0.879 0.879
5 In 0.251 0.251 0.251
6 In 0.749 0.749 0.749
7 Hg 0.500 0.500 0.500